Entry 1:
Starting from a PBE-relaxed structure, the powder XRD pattern of TmPuSeS was calculated for Cu Kα, 1.54184 Å.
Lines closer than 0.1° are merged.

Cell and atoms:
a b c (Å): 7.0346 7.0346 7.0346
angles (deg): 32.61 32.61 32.61
Fractional positions:
1 Tm 0.0000 0.0000 0.0000
2 Pu 0.5119 0.5119 0.5119
3 Se 0.7522 0.7522 0.7522
4 S 0.2593 0.2593 0.2593

Most intense lines, 2θ from 10° to 90°, by angle:
d 3.327, I 15; d 3.236, I 45; d 2.822, I 100; d 2.016, I 36; d 1.975, I 37; d 1.698, I 14; d 1.618, I 19; d 1.272, I 15; d 1.252, I 17; d 1.148, I 12


Entry 2:
Starting from a PBE-relaxed structure, the powder XRD pattern of PuUSeS2 was calculated for Cu Kα, 1.54184 Å.
Lines closer than 0.1° are merged.

Cell and atoms:
a b c (Å): 6.7247 6.7247 6.7247
angles (deg): 143.31 143.31 52.86
Fractional positions:
1 Pu 0.0000 0.0000 0.0000
2 U 0.2137 0.2137 0.0000
3 Se 0.6044 0.6044 0.0000
4 S 0.3516 0.8516 0.5000
5 S 0.8516 0.3516 0.5000

Most intense lines, 2θ from 10° to 90°, by angle:
d 3.994, I 100; d 2.993, I 70; d 2.913, I 45; d 2.680, I 30; d 2.123, I 39; d 2.117, I 44; d 2.094, I 66; d 1.870, I 27; d 1.712, I 19; d 1.488, I 46


Entry 3:
Starting from a PBE-relaxed structure, the powder XRD pattern of YPuSeS was calculated for Cu Kα, 1.54184 Å.
Lines closer than 0.1° are merged.

Cell and atoms:
a b c (Å): 7.0612 7.0612 7.0612
angles (deg): 32.89 32.89 32.89
Fractional positions:
1 Y 0.0000 0.0000 0.0000
2 Pu 0.4886 0.4886 0.4886
3 Se 0.2459 0.2459 0.2459
4 S 0.7433 0.7433 0.7433

Most intense lines, 2θ from 10° to 90°, by angle:
d 6.673, I 24; d 3.412, I 20; d 3.272, I 33; d 2.847, I 100; d 2.619, I 13; d 2.028, I 36; d 1.999, I 37; d 1.636, I 19; d 1.281, I 15; d 1.266, I 16